For Nb3VB2, a crystal structure in Alexandria, relaxed with PBE gives the simulated powder XRD pattern in this record (Cu Kα (λ = 1.5418 Å)).
No peak broadening, texture or thermal motion is included.

Peak list (10 most intense, 15 to 90 degrees two-theta, by angle)
| two_theta | d_spacing | I_rel |
| --- | --- | --- |
| 30.1 | 2.969 | 95 |
| 32.8 | 2.728 | 83 |
| 33.7 | 2.660 | 50 |
| 35.5 | 2.530 | 27 |
| 43.1 | 2.100 | 100 |
| 45.2 | 2.007 | 40 |
| 45.8 | 1.981 | 31 |
| 47.8 | 1.904 | 44 |
| 65.7 | 1.420 | 24 |
| 71.9 | 1.313 | 33 |

```
data_Nb3VB2
_cell_length_a 6.6733
_cell_length_b 6.6733
_cell_length_c 6.6733
_cell_angle_alpha 131.75
_cell_angle_beta 74.28
_cell_angle_gamma 127.24
_symmetry_space_group_name_H-M 'P 1'
_symmetry_Int_Tables_number 1
_symmetry_space_group_name_Hall 'P 1'
loop_
_atom_site_label
_atom_site_fract_x
_atom_site_fract_y
_atom_site_fract_z
Nb1 0.0332 0.7500 0.2832
Nb2 0.2500 0.2500 0.0000
Nb3 0.4668 0.7500 0.7168
Nb4 0.5332 0.2500 0.2832
Nb5 0.7500 0.7500 0.0000
Nb6 0.9668 0.2500 0.7168
V1 0.0000 0.5000 0.5000
V2 0.5000 0.0000 0.5000
B1 0.1387 0.1996 0.3383
B2 0.3613 0.6996 0.0610
B3 0.6387 0.3004 0.9390
B4 0.8613 0.8004 0.6617
```

=====

For BaCd3Hg8, a crystal structure in Alexandria, relaxed with PBE gives the simulated powder XRD pattern in this record (Cu Kα (λ = 1.5418 Å)).
No peak broadening, texture or thermal motion is included.

Peak list (10 most intense, 15 to 90 degrees two-theta, by angle)
| two_theta | d_spacing | I_rel |
| --- | --- | --- |
| 27.6 | 3.229 | 90 |
| 31.4 | 2.850 | 41 |
| 33.5 | 2.678 | 100 |
| 35.7 | 2.518 | 36 |
| 39.3 | 2.294 | 25 |
| 40.8 | 2.211 | 21 |
| 41.6 | 2.172 | 19 |
| 44.8 | 2.023 | 32 |
| 45.2 | 2.008 | 30 |
| 64.8 | 1.438 | 18 |

```
data_BaCd3Hg8
_cell_length_a 7.0089
_cell_length_b 7.0089
_cell_length_c 8.3023
_cell_angle_alpha 90.00
_cell_angle_beta 90.00
_cell_angle_gamma 120.00
_symmetry_space_group_name_H-M 'P 1'
_symmetry_Int_Tables_number 1
_symmetry_space_group_name_Hall 'P 1'
loop_
_atom_site_label
_atom_site_fract_x
_atom_site_fract_y
_atom_site_fract_z
Ba1 0.0000 0.0000 0.0000
Cd1 0.0000 0.0000 0.5000
Cd2 0.3333 0.6667 0.5859
Cd3 0.6667 0.3333 0.4141
Hg1 0.0863 0.3913 0.2827
Hg2 0.3050 0.9137 0.2827
Hg3 0.3333 0.6667 0.9553
Hg4 0.3913 0.3050 0.7173
Hg5 0.6087 0.6950 0.2827
Hg6 0.6667 0.3333 0.0447
Hg7 0.6950 0.0863 0.7173
Hg8 0.9137 0.6087 0.7173
```

=====

For PmEr3Hg3, a crystal structure in Alexandria, relaxed with PBE gives the simulated powder XRD pattern in this record (Cu Kα (λ = 1.5418 Å)).
No peak broadening, texture or thermal motion is included.

Peak list (10 most intense, 15 to 90 degrees two-theta, by angle)
| two_theta | d_spacing | I_rel |
| --- | --- | --- |
| 19.1 | 4.638 | 8 |
| 28.2 | 3.163 | 10 |
| 29.4 | 3.036 | 20 |
| 34.3 | 2.613 | 100 |
| 35.0 | 2.566 | 26 |
| 44.3 | 2.044 | 8 |
| 46.3 | 1.960 | 12 |
| 52.2 | 1.753 | 9 |
| 62.3 | 1.490 | 18 |
| 64.4 | 1.447 | 10 |

```
data_PmEr3Hg3
_cell_length_a 9.2755
_cell_length_b 9.2755
_cell_length_c 5.1313
_cell_angle_alpha 90.00
_cell_angle_beta 90.00
_cell_angle_gamma 120.00
_symmetry_space_group_name_H-M 'P 1'
_symmetry_Int_Tables_number 1
_symmetry_space_group_name_Hall 'P 1'
loop_
_atom_site_label
_atom_site_fract_x
_atom_site_fract_y
_atom_site_fract_z
Pm1 0.3333 0.6667 0.2500
Pm2 0.6667 0.3333 0.7500
Er1 0.0102 0.7670 0.7500
Er2 0.2330 0.2432 0.7500
Er3 0.2432 0.0102 0.2500
Er4 0.7568 0.9898 0.7500
Er5 0.7670 0.7568 0.2500
Er6 0.9898 0.2330 0.2500
Hg1 0.0559 0.4411 0.7500
Hg2 0.3851 0.9441 0.7500
Hg3 0.4411 0.3851 0.2500
Hg4 0.5589 0.6149 0.7500
Hg5 0.6149 0.0559 0.2500
Hg6 0.9441 0.5589 0.2500
```

=====

For Na8Bi3, a crystal structure in Alexandria, relaxed with PBE gives the simulated powder XRD pattern in this record (Cu Kα (λ = 1.5418 Å)).
No peak broadening, texture or thermal motion is included.

Peak list (10 most intense, 15 to 90 degrees two-theta, by angle)
| two_theta | d_spacing | I_rel |
| --- | --- | --- |
| 19.9 | 4.452 | 100 |
| 20.1 | 4.412 | 33 |
| 23.1 | 3.847 | 34 |
| 32.8 | 2.730 | 50 |
| 33.0 | 2.711 | 49 |
| 38.7 | 2.327 | 20 |
| 38.8 | 2.321 | 39 |
| 39.0 | 2.310 | 19 |
| 47.3 | 1.924 | 17 |
| 58.7 | 1.572 | 18 |

```
data_Na8Bi3
_cell_length_a 7.6944
_cell_length_b 7.6944
_cell_length_c 7.6944
_cell_angle_alpha 90.39
_cell_angle_beta 90.39
_cell_angle_gamma 90.39
_symmetry_space_group_name_H-M 'P 1'
_symmetry_Int_Tables_number 1
_symmetry_space_group_name_Hall 'P 1'
loop_
_atom_site_label
_atom_site_fract_x
_atom_site_fract_y
_atom_site_fract_z
Na1 0.2236 0.7733 0.7733
Na2 0.2264 0.2264 0.2264
Na3 0.2267 0.2267 0.7764
Na4 0.2267 0.7764 0.2267
Na5 0.7733 0.2236 0.7733
Na6 0.7733 0.7733 0.2236
Na7 0.7736 0.7736 0.7736
Na8 0.7764 0.2267 0.2267
Bi1 0.0000 0.0000 0.5000
Bi2 0.0000 0.5000 0.0000
Bi3 0.5000 0.0000 0.0000
```

=====

For Y5TmTe4, a crystal structure in Alexandria, relaxed with PBE gives the simulated powder XRD pattern in this record (Cu Kα (λ = 1.5418 Å)).
No peak broadening, texture or thermal motion is included.

Peak list (10 most intense, 15 to 90 degrees two-theta, by angle)
| two_theta | d_spacing | I_rel |
| --- | --- | --- |
| 21.8 | 4.070 | 31 |
| 22.8 | 3.892 | 100 |
| 30.0 | 2.975 | 90 |
| 31.7 | 2.824 | 40 |
| 32.4 | 2.760 | 31 |
| 36.3 | 2.478 | 62 |
| 36.8 | 2.440 | 49 |
| 37.8 | 2.382 | 30 |
| 38.2 | 2.356 | 34 |
| 41.9 | 2.154 | 37 |

```
data_Y5TmTe4
_cell_length_a 9.1535
_cell_length_b 9.7478
_cell_length_c 7.3997
_cell_angle_alpha 90.00
_cell_angle_beta 90.00
_cell_angle_gamma 90.00
_symmetry_space_group_name_H-M 'P 1'
_symmetry_Int_Tables_number 1
_symmetry_space_group_name_Hall 'P 1'
loop_
_atom_site_label
_atom_site_fract_x
_atom_site_fract_y
_atom_site_fract_z
Y1 0.0553 0.0577 0.2398
Y2 0.0553 0.4423 0.2398
Y3 0.2500 0.7500 0.2125
Y4 0.4447 0.0577 0.2398
Y5 0.4447 0.4423 0.2398
Y6 0.5553 0.5577 0.7602
Y7 0.5553 0.9423 0.7602
Y8 0.7500 0.2500 0.7875
Y9 0.9447 0.5577 0.7602
Y10 0.9447 0.9423 0.7602
Tm1 0.2500 0.2500 0.8692
Tm2 0.7500 0.7500 0.1308
Te1 0.0237 0.2500 0.5677
Te2 0.2500 0.5466 0.9154
Te3 0.2500 0.9534 0.9154
Te4 0.4763 0.2500 0.5677
Te5 0.5237 0.7500 0.4323
Te6 0.7500 0.0466 0.0846
Te7 0.7500 0.4534 0.0846
Te8 0.9763 0.7500 0.4323
```

=====

For NbHW, a crystal structure in Alexandria, relaxed with PBE gives the simulated powder XRD pattern in this record (Cu Kα (λ = 1.5418 Å)).
No peak broadening, texture or thermal motion is included.

Peak list (10 most intense, 15 to 90 degrees two-theta, by angle)
| two_theta | d_spacing | I_rel |
| --- | --- | --- |
| 18.7 | 4.738 | 11 |
| 38.0 | 2.369 | 20 |
| 38.3 | 2.353 | 100 |
| 55.0 | 1.668 | 14 |
| 55.4 | 1.660 | 7 |
| 68.8 | 1.365 | 13 |
| 69.1 | 1.359 | 7 |
| 69.2 | 1.357 | 14 |
| 69.3 | 1.356 | 7 |
| 81.9 | 1.177 | 9 |

```
data_NbHW
_cell_length_a 2.8770
_cell_length_b 4.7384
_cell_length_c 2.8771
_cell_angle_alpha 90.00
_cell_angle_beta 109.54
_cell_angle_gamma 90.00
_symmetry_space_group_name_H-M 'P 1'
_symmetry_Int_Tables_number 1
_symmetry_space_group_name_Hall 'P 1'
loop_
_atom_site_label
_atom_site_fract_x
_atom_site_fract_y
_atom_site_fract_z
Nb1 0.0000 0.0000 0.0000
H1 0.0000 0.2752 0.5000
W1 0.5000 0.5278 0.5000
```

=====

For KFe2Cl7, a crystal structure in Alexandria, relaxed with PBE gives the simulated powder XRD pattern in this record (Cu Kα (λ = 1.5418 Å)).
No peak broadening, texture or thermal motion is included.

Peak list (10 most intense, 15 to 90 degrees two-theta, by angle)
| two_theta | d_spacing | I_rel |
| --- | --- | --- |
| 16.2 | 5.479 | 95 |
| 18.1 | 4.889 | 100 |
| 20.6 | 4.319 | 71 |
| 24.4 | 3.648 | 45 |
| 27.6 | 3.236 | 79 |
| 31.0 | 2.883 | 85 |
| 31.2 | 2.864 | 94 |
| 36.8 | 2.444 | 72 |
| 39.0 | 2.309 | 50 |
| 40.4 | 2.231 | 51 |

```
data_KFe2Cl7
_cell_length_a 8.9224
_cell_length_b 8.9224
_cell_length_c 4.8889
_cell_angle_alpha 90.00
_cell_angle_beta 90.00
_cell_angle_gamma 104.23
_symmetry_space_group_name_H-M 'P 1'
_symmetry_Int_Tables_number 1
_symmetry_space_group_name_Hall 'P 1'
loop_
_atom_site_label
_atom_site_fract_x
_atom_site_fract_y
_atom_site_fract_z
K1 0.0000 0.0000 0.0000
Fe1 0.2847 0.2847 0.5000
Fe2 0.7153 0.7153 0.5000
Cl1 0.0402 0.2941 0.5000
Cl2 0.2941 0.0402 0.5000
Cl3 0.3058 0.3058 0.0000
Cl4 0.5000 0.5000 0.5000
Cl5 0.6942 0.6942 0.0000
Cl6 0.7059 0.9598 0.5000
Cl7 0.9598 0.7059 0.5000
```

=====

For AsSe3O9, a crystal structure in Alexandria, relaxed with PBE gives the simulated powder XRD pattern in this record (Cu Kα (λ = 1.5418 Å)).
No peak broadening, texture or thermal motion is included.

Peak list (10 most intense, 15 to 90 degrees two-theta, by angle)
| two_theta | d_spacing | I_rel |
| --- | --- | --- |
| 21.7 | 4.094 | 100 |
| 23.6 | 3.777 | 67 |
| 24.0 | 3.710 | 55 |
| 24.7 | 3.603 | 14 |
| 29.0 | 3.077 | 19 |
| 30.0 | 2.979 | 16 |
| 31.0 | 2.880 | 31 |
| 33.1 | 2.705 | 15 |
| 40.7 | 2.218 | 16 |
| 50.7 | 1.800 | 14 |

```
data_AsSe3O9
_cell_length_a 8.4808
_cell_length_b 8.4808
_cell_length_c 9.4418
_cell_angle_alpha 118.04
_cell_angle_beta 118.04
_cell_angle_gamma 46.18
_symmetry_space_group_name_H-M 'P 1'
_symmetry_Int_Tables_number 1
_symmetry_space_group_name_Hall 'P 1'
loop_
_atom_site_label
_atom_site_fract_x
_atom_site_fract_y
_atom_site_fract_z
As1 0.2146 0.7854 0.5000
As2 0.7854 0.2146 0.0000
Se1 0.2752 0.9555 0.9091
Se2 0.3124 0.4851 0.1192
Se3 0.4851 0.3124 0.6192
Se4 0.7361 0.8429 0.3346
Se5 0.8429 0.7361 0.8346
Se6 0.9555 0.2752 0.4091
O1 0.0098 0.5895 0.7118
O2 0.0151 0.0834 0.4998
O3 0.0301 0.6970 0.3742
O4 0.0834 0.0151 0.9998
O5 0.1781 0.1959 0.8963
O6 0.1820 0.8262 0.7009
O7 0.1959 0.1781 0.3963
O8 0.3157 0.6870 0.2924
O9 0.4152 0.4814 0.0018
O10 0.4814 0.4152 0.5018
O11 0.5895 0.0098 0.2118
O12 0.6371 0.7221 0.7734
O13 0.6870 0.3157 0.7924
O14 0.6890 0.9896 0.5346
O15 0.6970 0.0301 0.8742
O16 0.7221 0.6371 0.2734
O17 0.8262 0.1820 0.2009
O18 0.9896 0.6890 0.0346
```

=====

For NdDyI3, a crystal structure in Alexandria, relaxed with PBE gives the simulated powder XRD pattern in this record (Cu Kα (λ = 1.5418 Å)).
No peak broadening, texture or thermal motion is included.

Peak list (10 most intense, 15 to 90 degrees two-theta, by angle)
| two_theta | d_spacing | I_rel |
| --- | --- | --- |
| 25.0 | 3.556 | 40 |
| 25.4 | 3.507 | 34 |
| 26.3 | 3.385 | 48 |
| 27.7 | 3.224 | 33 |
| 28.5 | 3.136 | 48 |
| 30.3 | 2.953 | 100 |
| 32.9 | 2.722 | 37 |
| 36.7 | 2.446 | 37 |
| 38.5 | 2.340 | 61 |
| 44.0 | 2.059 | 33 |

```
data_NdDyI3
_cell_length_a 10.2575
_cell_length_b 10.2575
_cell_length_c 12.4939
_cell_angle_alpha 124.31
_cell_angle_beta 124.31
_cell_angle_gamma 23.16
_symmetry_space_group_name_H-M 'P 1'
_symmetry_Int_Tables_number 1
_symmetry_space_group_name_Hall 'P 1'
loop_
_atom_site_label
_atom_site_fract_x
_atom_site_fract_y
_atom_site_fract_z
Nd1 0.1336 0.1336 0.2779
Nd2 0.8664 0.8664 0.7221
Dy1 0.4335 0.4335 0.0386
Dy2 0.5665 0.5665 0.9614
I1 0.0349 0.0349 0.7486
I2 0.2109 0.2109 0.1176
I3 0.3346 0.3346 0.4938
I4 0.6654 0.6654 0.5062
I5 0.7891 0.7891 0.8824
I6 0.9651 0.9651 0.2514
```

=====

For Nd3TmSb4, a crystal structure in Alexandria, relaxed with PBE gives the simulated powder XRD pattern in this record (Cu Kα (λ = 1.5418 Å)).
No peak broadening, texture or thermal motion is included.

Peak list (10 most intense, 15 to 90 degrees two-theta, by angle)
| two_theta | d_spacing | I_rel |
| --- | --- | --- |
| 28.2 | 3.168 | 100 |
| 40.2 | 2.241 | 64 |
| 40.3 | 2.238 | 13 |
| 49.8 | 1.830 | 21 |
| 49.9 | 1.827 | 7 |
| 58.2 | 1.584 | 13 |
| 65.9 | 1.418 | 12 |
| 66.0 | 1.416 | 23 |
| 73.1 | 1.294 | 13 |
| 73.2 | 1.292 | 13 |

```
data_Nd3TmSb4
_cell_length_a 7.7527
_cell_length_b 8.9766
_cell_length_c 7.7568
_cell_angle_alpha 90.00
_cell_angle_beta 109.51
_cell_angle_gamma 90.00
_symmetry_space_group_name_H-M 'P 1'
_symmetry_Int_Tables_number 1
_symmetry_space_group_name_Hall 'P 1'
loop_
_atom_site_label
_atom_site_fract_x
_atom_site_fract_y
_atom_site_fract_z
Nd1 0.0000 0.1244 0.2500
Nd2 0.0000 0.3741 0.7500
Nd3 0.0000 0.6259 0.2500
Nd4 0.0000 0.8756 0.7500
Nd5 0.5000 0.3743 0.2500
Nd6 0.5000 0.6257 0.7500
Tm1 0.5000 0.1245 0.7500
Tm2 0.5000 0.8755 0.2500
Sb1 0.2539 0.3707 0.5043
Sb2 0.2539 0.6293 0.0043
Sb3 0.2586 0.1205 0.9998
Sb4 0.2586 0.8795 0.4998
Sb5 0.7414 0.1205 0.5002
Sb6 0.7414 0.8795 0.0002
Sb7 0.7461 0.3707 0.9957
Sb8 0.7461 0.6293 0.4957
```

=====

For PmCd3Cu, a crystal structure in Alexandria, relaxed with PBE gives the simulated powder XRD pattern in this record (Cu Kα (λ = 1.5418 Å)).
No peak broadening, texture or thermal motion is included.

Peak list (10 most intense, 15 to 90 degrees two-theta, by angle)
| two_theta | d_spacing | I_rel |
| --- | --- | --- |
| 30.5 | 2.928 | 21 |
| 32.4 | 2.766 | 100 |
| 32.9 | 2.720 | 90 |
| 36.7 | 2.450 | 32 |
| 37.2 | 2.416 | 12 |
| 39.4 | 2.287 | 22 |
| 40.4 | 2.234 | 57 |
| 41.9 | 2.157 | 29 |
| 59.6 | 1.552 | 19 |
| 68.4 | 1.372 | 12 |

```
data_PmCd3Cu
_cell_length_a 9.1080
_cell_length_b 4.4700
_cell_length_c 11.1024
_cell_angle_alpha 90.00
_cell_angle_beta 90.00
_cell_angle_gamma 90.00
_symmetry_space_group_name_H-M 'P 1'
_symmetry_Int_Tables_number 1
_symmetry_space_group_name_Hall 'P 1'
loop_
_atom_site_label
_atom_site_fract_x
_atom_site_fract_y
_atom_site_fract_z
Pm1 0.1875 0.2500 0.0079
Pm2 0.3125 0.7500 0.5079
Pm3 0.6875 0.2500 0.4921
Pm4 0.8125 0.7500 0.9921
Cd1 0.0539 0.2500 0.4100
Cd2 0.0928 0.7500 0.2117
Cd3 0.1448 0.7500 0.7978
Cd4 0.3552 0.2500 0.2978
Cd5 0.4072 0.2500 0.7117
Cd6 0.4461 0.7500 0.9100
Cd7 0.5539 0.2500 0.0900
Cd8 0.5928 0.7500 0.2883
Cd9 0.6448 0.7500 0.7022
Cd10 0.8552 0.2500 0.2022
Cd11 0.9072 0.2500 0.7883
Cd12 0.9461 0.7500 0.5900
Cu1 0.1345 0.2500 0.6398
Cu2 0.3655 0.7500 0.1398
Cu3 0.6345 0.2500 0.8602
Cu4 0.8655 0.7500 0.3602
```

=====

For Pm8DyY6, a crystal structure in Alexandria, relaxed with PBE gives the simulated powder XRD pattern in this record (Cu Kα (λ = 1.5418 Å)).
No peak broadening, texture or thermal motion is included.

Peak list (10 most intense, 15 to 90 degrees two-theta, by angle)
| two_theta | d_spacing | I_rel |
| --- | --- | --- |
| 25.6 | 3.476 | 30 |
| 28.9 | 3.094 | 23 |
| 29.2 | 3.053 | 22 |
| 32.0 | 2.800 | 100 |
| 32.8 | 2.728 | 28 |
| 33.2 | 2.701 | 54 |
| 40.0 | 2.254 | 13 |
| 50.5 | 1.806 | 20 |
| 51.1 | 1.786 | 14 |
| 61.6 | 1.506 | 14 |

```
data_Pm8DyY6
_cell_length_a 9.4514
_cell_length_b 9.4514
_cell_length_c 6.5820
_cell_angle_alpha 90.00
_cell_angle_beta 90.00
_cell_angle_gamma 120.00
_symmetry_space_group_name_H-M 'P 1'
_symmetry_Int_Tables_number 1
_symmetry_space_group_name_Hall 'P 1'
loop_
_atom_site_label
_atom_site_fract_x
_atom_site_fract_y
_atom_site_fract_z
Pm1 0.0369 0.7522 0.1660
Pm2 0.2478 0.2847 0.1660
Pm3 0.2847 0.0369 0.8340
Pm4 0.3333 0.6667 0.1226
Pm5 0.6667 0.3333 0.8774
Pm6 0.7153 0.9631 0.1660
Pm7 0.7522 0.7153 0.8340
Pm8 0.9631 0.2478 0.8340
Dy1 0.0000 0.0000 0.5000
Y1 0.0931 0.6561 0.6590
Y2 0.3439 0.4371 0.6590
Y3 0.4371 0.0931 0.3410
Y4 0.5629 0.9069 0.6590
Y5 0.6561 0.5629 0.3410
Y6 0.9069 0.3439 0.3410
```

=====

Number 12 is which compound? Pm8DyY6